# Li2NiP2O8
Simulated powder XRD pattern, λ = 1.5418 Å (Cu Kα). Input: a cell relaxed with PBE+U.
Lines closer than 0.1° are merged.

Atomic structure:
```
data_Li2NiP2O8
_space_group_name_H-M_alt 'P 1 21 1'
_space_group_IT_number 4
_space_group_name_Hall 'P 2yb'
_cell_length_a 8.212
_cell_length_b 10.369
_cell_length_c 8.308
_cell_angle_alpha 90.00
_cell_angle_beta 103.84
_cell_angle_gamma 90.00
loop_
_atom_site_label
_atom_site_fract_x
_atom_site_fract_y
_atom_site_fract_z
Li1 0.050 0.000 0.029
Li2 0.105 0.738 0.836
Li3 0.110 0.898 0.351
Li4 0.145 0.419 0.420
Ni1 0.397 0.225 0.662
Ni2 0.411 0.403 0.164
P1 0.215 0.980 0.721
P2 0.224 0.651 0.215
P3 0.265 0.472 0.795
P4 0.266 0.167 0.293
O1 0.082 0.963 0.559
O2 0.095 0.658 0.049
O3 0.099 0.422 0.830
O4 0.117 0.245 0.320
O5 0.152 0.712 0.350
O6 0.152 0.925 0.865
O7 0.220 0.030 0.237
O8 0.237 0.613 0.744
O9 0.259 0.126 0.755
O10 0.266 0.505 0.259
O11 0.306 0.393 0.649
O12 0.336 0.236 0.154
O13 0.378 0.909 0.702
O14 0.386 0.724 0.203
O15 0.411 0.172 0.454
O16 0.412 0.455 0.950
```

Most intense lines, 2θ from 10° to 80°, sorted by position:
| two_theta | Rel. int. | (hkl) |
| --- | --- | --- |
| 14.01 | 476 | 1 1 0 |
| 16.09 | 625 | 1 1 -1 |
| 21.93 | 957 | 1 2 -1 |
| 22.04 | 1000 | 0 0 2 |
| 23.90 | 737 | 2 1 0 |
| 32.51 | 555 | 2 2 -2 |
| 34.60 | 407 | 0 4 0 |
| 35.24 | 524 | 2 0 2 |